(1)
Diffraction record for Li3ThCu8. The powder X-ray diffraction pattern is simulated, not measured: it uses the GGA-PBE geometry in Alexandria and λ = 1.5418 Å (Cu Kα).
No peak broadening, texture or thermal motion is included.

Cell and atoms:
abc: 5.0170 5.0170 8.2650
angles: 90.00 90.00 120.00
Space group P3m1 (No. 156)
Asymmetric unit:
Li1 0.0000 0.0000 0.0000 [1 per cell]
Li2 0.0000 0.0000 0.3380 [1 per cell]
Li3 0.3333 0.6667 0.9165 [1 per cell]
Th1 0.3333 0.6667 0.5133 [1 per cell]
Cu1 0.9995 0.4998 0.1947 [3 per cell]
Cu2 0.3286 0.1643 0.7095 [3 per cell]
Cu3 0.6667 0.3333 0.4460 [1 per cell]
Cu4 0.6667 0.3333 0.9491 [1 per cell]

Peak list (10 most intense, 10° ≤ 2θ ≤ 80°, low angle first)
10.70 deg, d = 8.265 Å, I = 76; 20.44 deg, d = 4.345 Å, I = 62; 23.13 deg, d = 3.846 Å, I = 99; 29.84 deg, d = 2.994 Å, I = 55; 37.47 deg, d = 2.400 Å, I = 31; 38.70 deg, d = 2.327 Å, I = 65; 42.14 deg, d = 2.144 Å, I = 100; 43.05 deg, d = 2.101 Å, I = 99; 47.27 deg, d = 1.923 Å, I = 33; 71.75 deg, d = 1.315 Å, I = 28

---

(2)
Diffraction record for La3PrNd8. The powder X-ray diffraction pattern is simulated, not measured: it uses the GGA-PBE geometry in Alexandria and λ = 1.5418 Å (Cu Kα).
No peak broadening, texture or thermal motion is included.

Cell and atoms:
abc: 6.566 9.050 14.701
angles: 90.00 90.00 90.00
Space group I222 (No. 23)
Asymmetric unit:
La1 0.000 0.000 0.000 [2 per cell]
La2 0.000 0.500 0.383 [4 per cell]
Pr1 0.000 0.000 0.500 [2 per cell]
Nd1 0.130 0.333 0.097 [8 per cell]
Nd2 0.156 0.148 0.286 [8 per cell]

Peak list (10 most intense, 10° ≤ 2θ ≤ 80°, low angle first)
24.65 deg, d = 3.612 Å, I = 19; 29.56 deg, d = 3.022 Å, I = 100; 30.13 deg, d = 2.966 Å, I = 33; 30.24 deg, d = 2.955 Å, I = 20; 34.93 deg, d = 2.569 Å, I = 28; 35.94 deg, d = 2.499 Å, I = 21; 40.54 deg, d = 2.225 Å, I = 16; 44.31 deg, d = 2.044 Å, I = 14; 57.77 deg, d = 1.596 Å, I = 15; 58.57 deg, d = 1.576 Å, I = 15

---

(3)
Diffraction record for TcNi8Rh2. The powder X-ray diffraction pattern is simulated, not measured: it uses the GGA-PBE geometry in Alexandria and λ = 1.5418 Å (Cu Kα).
No peak broadening, texture or thermal motion is included.

Cell and atoms:
abc: 4.427 4.434 6.793
angles: 90.31 96.56 99.41
Space group P-1 (No. 2)
Asymmetric unit:
Tc1 0.000 0.000 0.000 [1 per cell]
Ni1 0.094 0.182 0.363 [2 per cell]
Ni2 0.273 0.546 0.092 [2 per cell]
Ni3 0.368 0.735 0.454 [2 per cell]
Ni4 0.458 0.908 0.820 [2 per cell]
Rh1 0.181 0.366 0.725 [2 per cell]

Peak list (10 most intense, 10° ≤ 2θ ≤ 80°, low angle first)
24.53 deg, d = 3.629 Å, I = 3; 25.68 deg, d = 3.469 Å, I = 3; 43.14 deg, d = 2.097 Å, I = 100; 43.40 deg, d = 2.085 Å, I = 98; 50.34 deg, d = 1.813 Å, I = 62; 50.49 deg, d = 1.807 Å, I = 31; 73.58 deg, d = 1.287 Å, I = 9; 74.01 deg, d = 1.281 Å, I = 18; 74.14 deg, d = 1.279 Å, I = 18; 74.33 deg, d = 1.276 Å, I = 9

---

(4)
Diffraction record for VCr2Ag2Se6. The powder X-ray diffraction pattern is simulated, not measured: it uses the GGA-PBE geometry in Alexandria and λ = 1.5418 Å (Cu Kα).
No peak broadening, texture or thermal motion is included.

Cell and atoms:
abc: 5.776 10.517 8.103
angles: 90.00 107.77 90.00
Space group C2/m (No. 12)
Asymmetric unit:
V1 0.000 0.000 0.000 [2 per cell]
Cr1 0.000 0.375 0.000 [4 per cell]
Ag1 0.000 0.185 0.500 [4 per cell]
Se1 0.072 0.500 0.779 [4 per cell]
Se2 0.089 0.181 0.826 [8 per cell]

Peak list (10 most intense, 10° ≤ 2θ ≤ 80°, low angle first)
11.47 deg, d = 7.717 Å, I = 29; 30.23 deg, d = 2.956 Å, I = 100; 30.56 deg, d = 2.926 Å, I = 67; 32.56 deg, d = 2.750 Å, I = 67; 34.88 deg, d = 2.572 Å, I = 31; 35.08 deg, d = 2.558 Å, I = 35; 42.64 deg, d = 2.120 Å, I = 55; 48.69 deg, d = 1.870 Å, I = 34; 50.73 deg, d = 1.800 Å, I = 53; 54.48 deg, d = 1.684 Å, I = 45

---

(5)
Diffraction record for Sn6As3Au2. The powder X-ray diffraction pattern is simulated, not measured: it uses the GGA-PBE geometry in Alexandria and λ = 1.5418 Å (Cu Kα).
No peak broadening, texture or thermal motion is included.

Cell and atoms:
abc: 4.5709 4.5709 18.7585
angles: 90.00 90.00 120.00
Space group P3m1 (No. 156)
Asymmetric unit:
Sn1 0.0000 0.0000 0.0000 [1 per cell]
Sn2 0.0000 0.0000 0.2940 [1 per cell]
Sn3 0.0000 0.0000 0.6888 [1 per cell]
Sn4 0.3333 0.6667 0.1214 [1 per cell]
Sn5 0.3333 0.6667 0.4922 [1 per cell]
Sn6 0.3333 0.6667 0.7995 [1 per cell]
As1 0.0000 0.0000 0.5402 [1 per cell]
As2 0.3333 0.6667 0.3467 [1 per cell]
As3 0.3333 0.6667 0.9555 [1 per cell]
Au1 0.0000 0.0000 0.1503 [1 per cell]
Au2 0.6667 0.3333 0.7410 [1 per cell]

Peak list (10 most intense, 10° ≤ 2θ ≤ 80°, low angle first)
22.46 deg, d = 3.958 Å, I = 36; 22.96 deg, d = 3.873 Å, I = 41; 23.72 deg, d = 3.752 Å, I = 29; 24.41 deg, d = 3.647 Å, I = 50; 26.65 deg, d = 3.345 Å, I = 28; 36.63 deg, d = 2.453 Å, I = 48; 39.43 deg, d = 2.285 Å, I = 100; 40.65 deg, d = 2.219 Å, I = 58; 46.53 deg, d = 1.952 Å, I = 29; 49.40 deg, d = 1.845 Å, I = 23

---

(6)
Diffraction record for NiAgHg. The powder X-ray diffraction pattern is simulated, not measured: it uses the GGA-PBE geometry in Alexandria and λ = 1.5418 Å (Cu Kα).
No peak broadening, texture or thermal motion is included.

Cell and atoms:
abc: 2.975 14.712 4.571
angles: 90.00 90.00 90.00
Space group Cmcm (No. 63)
Asymmetric unit:
Ni1 0.000 0.061 0.250 [4 per cell]
Ag1 0.000 0.281 0.750 [4 per cell]
Hg1 0.000 0.407 0.250 [4 per cell]

Peak list (10 most intense, 10° ≤ 2θ ≤ 80°, low angle first)
22.91 deg, d = 3.883 Å, I = 15; 30.66 deg, d = 2.916 Å, I = 14; 31.21 deg, d = 2.866 Å, I = 21; 35.28 deg, d = 2.544 Å, I = 9; 36.65 deg, d = 2.452 Å, I = 21; 39.42 deg, d = 2.286 Å, I = 32; 40.59 deg, d = 2.223 Å, I = 100; 41.81 deg, d = 2.161 Å, I = 18; 54.92 deg, d = 1.672 Å, I = 13; 72.28 deg, d = 1.307 Å, I = 18

---

(7)
Diffraction record for KAgAuS2. The powder X-ray diffraction pattern is simulated, not measured: it uses the GGA-PBE geometry in Alexandria and λ = 1.5418 Å (Cu Kα).
No peak broadening, texture or thermal motion is included.

Cell and atoms:
abc: 6.368 13.211 5.818
angles: 90.00 90.00 90.00
Space group Cmme (No. 67)
Asymmetric unit:
K1 0.000 0.250 0.239 [4 per cell]
Ag1 0.250 0.000 0.500 [4 per cell]
Au1 0.000 0.000 0.000 [4 per cell]
S1 0.000 0.123 0.716 [8 per cell]

Peak list (10 most intense, 10° ≤ 2θ ≤ 80°, low angle first)
13.40 deg, d = 6.606 Å, I = 100; 27.00 deg, d = 3.303 Å, I = 22; 32.04 deg, d = 2.793 Å, I = 32; 33.66 deg, d = 2.662 Å, I = 39; 34.87 deg, d = 2.573 Å, I = 55; 41.36 deg, d = 2.183 Å, I = 20; 42.38 deg, d = 2.133 Å, I = 36; 52.95 deg, d = 1.729 Å, I = 17; 57.35 deg, d = 1.607 Å, I = 14; 65.70 deg, d = 1.421 Å, I = 12

---

(8)
Diffraction record for CdO. The powder X-ray diffraction pattern is simulated, not measured: it uses the GGA-PBE geometry in Alexandria and λ = 1.5418 Å (Cu Kα).
No peak broadening, texture or thermal motion is included.

Cell and atoms:
abc: 3.6853 3.6853 5.8152
angles: 90.00 90.00 120.00
Space group P6_3mc (No. 186)
Asymmetric unit:
Cd1 0.3333 0.6667 0.0000 [2 per cell]
O1 0.3333 0.6667 0.6135 [2 per cell]

Peak list (10 most intense, 10° ≤ 2θ ≤ 80°, low angle first)
27.96 deg, d = 3.192 Å, I = 40; 30.75 deg, d = 2.908 Å, I = 33; 31.99 deg, d = 2.798 Å, I = 100; 42.04 deg, d = 2.149 Å, I = 21; 49.46 deg, d = 1.843 Å, I = 30; 55.46 deg, d = 1.657 Å, I = 29; 59.38 deg, d = 1.556 Å, I = 28; 60.13 deg, d = 1.539 Å, I = 16; 66.88 deg, d = 1.399 Å, I = 5; 77.47 deg, d = 1.232 Å, I = 10

---

(9)
Diffraction record for Na4OsO5. The powder X-ray diffraction pattern is simulated, not measured: it uses the GGA-PBE geometry in Alexandria and λ = 1.5418 Å (Cu Kα).
No peak broadening, texture or thermal motion is included.

Cell and atoms:
abc: 7.306 7.306 4.842
angles: 90.00 90.00 90.00
Space group I4 (No. 79)
Asymmetric unit:
Na1 0.097 0.301 0.000 [8 per cell]
Os1 0.000 0.000 0.459 [2 per cell]
O1 0.000 0.000 0.073 [2 per cell]
O2 0.078 0.249 0.510 [8 per cell]

Peak list (10 most intense, 10° ≤ 2θ ≤ 80°, low angle first)
17.16 deg, d = 5.166 Å, I = 89; 22.02 deg, d = 4.036 Å, I = 100; 24.37 deg, d = 3.653 Å, I = 33; 33.08 deg, d = 2.708 Å, I = 77; 37.14 deg, d = 2.421 Å, I = 24; 38.98 deg, d = 2.310 Å, I = 50; 48.71 deg, d = 1.869 Å, I = 18; 54.94 deg, d = 1.671 Å, I = 32; 56.31 deg, d = 1.634 Å, I = 18; 66.88 deg, d = 1.399 Å, I = 23

---

(10)
Diffraction record for Tm3SiH. The powder X-ray diffraction pattern is simulated, not measured: it uses the GGA-PBE geometry in Alexandria and λ = 1.5418 Å (Cu Kα).
No peak broadening, texture or thermal motion is included.

Cell and atoms:
abc: 6.349 6.153 10.364
angles: 90.00 96.64 90.00
Space group P2_1/c (No. 14)
Asymmetric unit:
Tm1 0.073 0.069 0.162 [4 per cell]
Tm2 0.218 0.552 0.087 [4 per cell]
Tm3 0.389 0.161 0.884 [4 per cell]
Si1 0.369 0.686 0.843 [4 per cell]
H1 0.080 0.241 0.973 [4 per cell]

Peak list (10 most intense, 10° ≤ 2θ ≤ 80°, low angle first)
25.54 deg, d = 3.488 Å, I = 32; 29.81 deg, d = 2.997 Å, I = 29; 31.74 deg, d = 2.819 Å, I = 67; 32.19 deg, d = 2.781 Å, I = 68; 32.38 deg, d = 2.765 Å, I = 27; 34.00 deg, d = 2.637 Å, I = 100; 34.85 deg, d = 2.574 Å, I = 50; 35.05 deg, d = 2.560 Å, I = 67; 37.70 deg, d = 2.386 Å, I = 30; 40.86 deg, d = 2.208 Å, I = 26